This entry pairs a crystal structure of BaSr4Fe5O15 with its computed XRD peak list. Radiation: Cu Kα (λ = 1.5418 Å). Structure: a PBE+U-relaxed structure.

Top 10 peaks for 10 to 90 degrees two-theta, in order of rising 2θ:
2θ = 22.6°, I 2
2θ = 32.1°, I 100
2θ = 39.6°, I 14
2θ = 46.1°, I 37
2θ = 51.9°, I 2
2θ = 57.3°, I 38
2θ = 67.2°, I 21
2θ = 76.5°, I 16
2θ = 80.9°, I 4
2θ = 85.3°, I 7

```
data_BaSr4Fe5O15
_space_group_name_H-M_alt 'P 1'
_space_group_IT_number 1
_cell_length_a 14.1994
_cell_length_b 14.1994
_cell_length_c 3.9395
_cell_angle_alpha 90.00
_cell_angle_beta 90.00
_cell_angle_gamma 157.36
loop_
_space_group_symop_operation_xyz
'x,y,z'
loop_
_atom_site_label
_atom_site_type_symbol
_atom_site_fract_x
_atom_site_fract_y
_atom_site_fract_z
_atom_site_occupancy
Ba1 Ba 0.0000 0.0000 0.0000 1
Sr1 Sr 0.2004 0.7996 0.0000 1
Sr2 Sr 0.3992 0.6008 0.0000 1
Sr3 Sr 0.6008 0.3992 0.0000 1
Sr4 Sr 0.7996 0.2004 0.0000 1
Fe1 Fe 0.1014 0.8986 0.5000 1
Fe2 Fe 0.2996 0.7004 0.5000 1
Fe3 Fe 0.5000 0.5000 0.5000 1
Fe4 Fe 0.7004 0.2996 0.5000 1
Fe5 Fe 0.8986 0.1014 0.5000 1
O1 O 0.0000 0.5000 0.5000 1
O2 O 0.0990 0.4013 0.5000 1
O3 O 0.1030 0.8970 0.0000 1
O4 O 0.2031 0.3075 0.5000 1
O5 O 0.2995 0.7005 0.0000 1
O6 O 0.3075 0.2031 0.5000 1
O7 O 0.4013 0.0990 0.5000 1
O8 O 0.5000 0.0000 0.5000 1
O9 O 0.5000 0.5000 0.0000 1
O10 O 0.5987 0.9010 0.5000 1
O11 O 0.6925 0.7969 0.5000 1
O12 O 0.7005 0.2995 0.0000 1
O13 O 0.7969 0.6925 0.5000 1
O14 O 0.8970 0.1030 0.0000 1
O15 O 0.9010 0.5987 0.5000 1
```